Diffraction record for CoC4O4. The powder diffraction line list is calculated, not measured: it uses DFT lattice parameters and positions (PBE+U) and Cu Kα.
No peak broadening, texture or thermal motion is included.

Crystal structure
```
CoC4O4
1.0
5.765 0.000 0.000
0.000 5.765 0.000
0.000 0.000 5.765
Co C O
1 4 4
direct
0.000 0.000 0.000 Co
0.181 0.181 0.819 C
0.181 0.819 0.181 C
0.819 0.181 0.181 C
0.819 0.819 0.819 C
0.297 0.297 0.703 O
0.297 0.703 0.297 O
0.703 0.297 0.297 O
0.703 0.703 0.703 O
```

Peak list (10 most intense, 10° ≤ 2θ ≤ 90°, in order of rising 2θ)
| index | d [Å] | 2θ/deg | I/Imax |
| --- | --- | --- | --- |
| 1 0 0 | 5.765 | 15.37 | 757 |
| 1 1 0 | 4.077 | 21.80 | 1000 |
| 1 1 1 | 3.329 | 26.78 | 897 |
| 2 1 0 | 2.578 | 34.80 | 443 |
| 2 1 1 | 2.354 | 38.24 | 217 |
| 2 2 0 | 2.038 | 44.45 | 355 |
| 3 0 0 | 1.922 | 47.30 | 238 |
| 3 1 1 | 1.738 | 52.65 | 151 |
| 3 2 1 | 1.541 | 60.04 | 249 |
| 3 3 0 | 1.359 | 69.13 | 139 |